Starting from the PBE geometry in Alexandria, the XRD peak list of Nd2TlSi was computed for Cu Ka.
Peak positions follow from Bragg's law for the DFT cell and can differ from measured ones.

Atomic structure:
a b c (Å): 6.9522 4.5151 14.1425
angles (deg): 90.00 90.00 90.00
Space group Amm2 (No. 38)
Symmetry-distinct sites (fractional):
Nd 0.0000 0.0000 0.0000 x2
Nd 0.0000 0.0000 0.2521 x2
Nd 0.5000 0.0000 0.1602 x2
Nd 0.5000 0.0000 0.4541 x2
Tl 0.2894 0.0000 0.8206 x4
Si 0.1841 0.0000 0.6172 x4

The 10 most intense peaks (10 to 90 degrees two-theta), sorted by position:
d (Å), 2theta, intensity, hkl
7.071, 12.52, 40.5, 0 0 2
3.261, 27.35, 36.2, 0 1 3
3.120, 28.61, 25.9, 2 0 2
2.952, 30.27, 100.0, 1 1 3
2.704, 33.14, 97.2, 2 1 1
2.479, 36.24, 43.0, 2 0 4
2.397, 37.52, 37.4, 0 1 5
2.258, 39.93, 36.8, 0 2 0
1.669, 55.02, 26.1, 2 2 4
1.630, 56.47, 24.4, 0 2 6

***

Starting from the PBE geometry in Alexandria, the XRD peak list of MgBi3S6 was computed for Cu Ka.
Peak positions follow from Bragg's law for the DFT cell and can differ from measured ones.

Atomic structure:
a b c (Å): 6.9780 6.9780 18.4767
angles (deg): 90.00 90.00 120.00
Space group R3 (No. 146, hexagonal axes)
Symmetry-distinct sites (fractional):
Mg 0.0000 0.0000 0.0000 x3
Bi 0.0000 0.0000 0.3002 x3
Bi 0.0000 0.0000 0.5002 x3
Bi 0.0000 0.0000 0.7976 x3
S 0.0442 0.3501 0.0646 x9
S 0.0558 0.6828 0.5707 x9

The 10 most intense peaks (10 to 90 degrees two-theta), sorted by position:
d (Å), 2theta, intensity, hkl
5.744, 15.43, 31.4, 1 0 1
5.057, 17.54, 60.9, 0 1 2
3.670, 24.25, 97.7, 1 0 4
3.489, 25.53, 100.0, 1 1 0
3.036, 29.42, 27.8, 1 1 3
2.529, 35.50, 48.6, 0 2 4
2.309, 39.01, 83.4, 2 -1 6
2.047, 44.24, 49.8, 3 -1 4
2.014, 45.00, 47.2, 3 0 0
1.576, 58.58, 29.8, 0 2 10